No. 1
This entry pairs a crystal structure of Er12Ga6Tc with its theoretical X-ray diffraction stick pattern. Radiation: CuKα. Structure: a GGA-PBE-relaxed structure.

Most intense lines, 5° ≤ 2θ ≤ 70°, in order of falling intensity:
2θ 26.24, I = 100
2θ 37.58, I = 89
2θ 37.31, I = 84
2θ 33.11, I = 67
2θ 31.27, I = 43
2θ 53.99, I = 29
2θ 22.73, I = 28
2θ 54.78, I = 22

Atomic structure:
Cell lengths 12.6635, 12.6635, 11.8510 Å; angles 90.00, 90.00, 120.00 degrees
Space group R-3 (No. 148, hexagonal axes)
Inequivalent atoms, fractional coordinates:
Er: 0.0357 0.8247 0.3931 [18 per cell]
Er: 0.0481 0.8467 0.8838 [18 per cell]
Ga: 0.0502 0.7813 0.6453 [18 per cell]
Tc: 0.0000 0.0000 0.0000 [3 per cell]


No. 2
This entry pairs a crystal structure of Pr3P2Se3 with its theoretical X-ray diffraction stick pattern. Radiation: CuKα. Structure: a GGA-PBE-relaxed structure.

Most intense lines, 5° ≤ 2θ ≤ 70°, in order of falling intensity:
2θ 34.57, I = 100
2θ 34.30, I = 98
2θ 19.76, I = 74
2θ 37.36, I = 69
2θ 31.39, I = 52
2θ 47.38, I = 50
2θ 65.51, I = 47
2θ 25.24, I = 39

Atomic structure:
Cell lengths 8.9879, 8.9879, 5.6998 Å; angles 90.00, 90.00, 120.00 degrees
Space group P6_3/mcm (No. 193)
Inequivalent atoms, fractional coordinates:
Pr: 0.0000 0.3745 0.2500 [6 per cell]
P: 0.3333 0.6667 0.0000 [4 per cell]
Se: 0.0000 0.2723 0.7500 [6 per cell]


No. 3
This entry pairs a crystal structure of KPmTcO5 with its theoretical X-ray diffraction stick pattern. Radiation: CuKα. Structure: a GGA-PBE-relaxed structure.

Most intense lines, 5° ≤ 2θ ≤ 70°, in order of falling intensity:
2θ 23.42, I = 100
2θ 28.83, I = 89
2θ 25.24, I = 82
2θ 29.06, I = 74
2θ 15.20, I = 45
2θ 51.80, I = 31
2θ 32.16, I = 29
2θ 46.75, I = 28

Atomic structure:
Cell lengths 7.6471, 10.3398, 8.2831 Å; angles 90.00, 112.64, 90.00 degrees
Space group C2/c (No. 15)
Inequivalent atoms, fractional coordinates:
K: 0.0000 0.1774 0.2500 [4 per cell]
Pm: 0.0000 0.5000 0.0000 [4 per cell]
Tc: 0.0000 0.1772 0.7500 [4 per cell]
O: 0.0000 0.4231 0.2500 [4 per cell]
O: 0.0885 0.2836 0.6274 [8 per cell]
O: 0.1664 0.0715 0.9054 [8 per cell]


No. 4
This entry pairs a crystal structure of Sr2AcSn3 with its theoretical X-ray diffraction stick pattern. Radiation: CuKα. Structure: a GGA-PBE-relaxed structure.

Most intense lines, 5° ≤ 2θ ≤ 70°, in order of falling intensity:
2θ 33.25, I = 100
2θ 23.76, I = 84
2θ 24.46, I = 64
2θ 31.66, I = 55
2θ 18.45, I = 41
2θ 36.89, I = 35
2θ 40.41, I = 29
2θ 35.44, I = 29

Atomic structure:
Cell lengths 16.9558, 9.1973, 5.9560 Å; angles 90.00, 90.00, 90.00 degrees
Space group Cmcm (No. 63)
Inequivalent atoms, fractional coordinates:
Sr: 0.1837 0.1665 0.2500 [8 per cell]
Ac: 0.0000 0.3161 0.7500 [4 per cell]
Sn: 0.0000 0.0539 0.2500 [4 per cell]
Sn: 0.1569 0.5000 0.0000 [8 per cell]


No. 5
This entry pairs a crystal structure of Ac6TlTe8 with its theoretical X-ray diffraction stick pattern. Radiation: CuKα. Structure: a GGA-PBE-relaxed structure.

Most intense lines, 5° ≤ 2θ ≤ 70°, in order of falling intensity:
2θ 26.67, I = 100
2θ 38.07, I = 79
2θ 62.09, I = 38
2θ 47.09, I = 29
2θ 68.80, I = 28
2θ 54.94, I = 14
2θ 23.04, I = 8
2θ 44.97, I = 5

Atomic structure:
Cell lengths 13.3704, 13.3704, 13.3704 Å; angles 90.00, 90.00, 90.00 degrees
Space group Fm-3m (No. 225)
Inequivalent atoms, fractional coordinates:
Ac: 0.0000 0.2500 0.2500 [24 per cell]
Tl: 0.0000 0.0000 0.0000 [4 per cell]
Te: 0.0000 0.0000 0.2569 [24 per cell]
Te: 0.2500 0.2500 0.2500 [8 per cell]


No. 6
This entry pairs a crystal structure of Ca2Ga6Ir with its theoretical X-ray diffraction stick pattern. Radiation: CuKα. Structure: a GGA-PBE-relaxed structure.

Most intense lines, 5° ≤ 2θ ≤ 70°, in order of falling intensity:
2θ 36.65, I = 100
2θ 45.49, I = 73
2θ 33.46, I = 60
2θ 14.80, I = 59
2θ 14.93, I = 59
2θ 42.29, I = 45
2θ 45.26, I = 45
2θ 25.93, I = 37

Atomic structure:
Cell lengths 6.9329, 11.8713, 4.2738 Å; angles 90.00, 90.00, 90.00 degrees
Space group Cmmm (No. 65)
Inequivalent atoms, fractional coordinates:
Ca: 0.0000 0.2191 0.0000 [4 per cell]
Ga: 0.1962 0.3668 0.5000 [8 per cell]
Ga: 0.2317 0.0000 0.0000 [4 per cell]
Ir: 0.0000 0.0000 0.5000 [2 per cell]


No. 7
This entry pairs a crystal structure of TmNpS2N with its theoretical X-ray diffraction stick pattern. Radiation: CuKα. Structure: a GGA-PBE-relaxed structure.

Most intense lines, 5° ≤ 2θ ≤ 70°, in order of falling intensity:
2θ 26.94, I = 100
2θ 33.47, I = 58
2θ 42.96, I = 31
2θ 55.95, I = 29
2θ 6.49, I = 27
2θ 35.45, I = 24
2θ 26.16, I = 24
2θ 48.05, I = 23

Atomic structure:
Cell lengths 3.7867, 3.7867, 13.6254 Å; angles 90.00, 90.00, 90.00 degrees
Space group P4/nmm (No. 129, origin choice 2)
Inequivalent atoms, fractional coordinates:
Tm: 0.2500 0.2500 0.1186 [2 per cell]
Np: 0.2500 0.2500 0.5869 [2 per cell]
S: 0.2500 0.2500 0.3066 [2 per cell]
S: 0.2500 0.2500 0.9081 [2 per cell]
N: 0.2500 0.7500 0.5000 [2 per cell]


No. 8
This entry pairs a crystal structure of MnHg4P with its theoretical X-ray diffraction stick pattern. Radiation: CuKα. Structure: a GGA-PBE-relaxed structure.

Most intense lines, 5° ≤ 2θ ≤ 70°, in order of falling intensity:
2θ 36.15, I = 100
2θ 37.82, I = 89
2θ 18.65, I = 88
2θ 63.90, I = 36
2θ 43.95, I = 35
2θ 58.16, I = 34
2θ 48.13, I = 25
2θ 67.20, I = 19

Atomic structure:
Cell lengths 8.2413, 8.2413, 8.2413 Å; angles 90.00, 90.00, 90.00 degrees
Space group F-43m (No. 216)
Inequivalent atoms, fractional coordinates:
Mn: 0.0000 0.0000 0.0000 [4 per cell]
Hg: 0.1249 0.1249 0.3751 [16 per cell]
P: 0.2500 0.2500 0.7500 [4 per cell]


No. 9
This entry pairs a crystal structure of LaHo5Hg2 with its theoretical X-ray diffraction stick pattern. Radiation: CuKα. Structure: a GGA-PBE-relaxed structure.

Most intense lines, 5° ≤ 2θ ≤ 70°, in order of falling intensity:
2θ 33.71, I = 100
2θ 30.56, I = 73
2θ 32.21, I = 57
2θ 35.33, I = 40
2θ 38.65, I = 38
2θ 60.59, I = 37
2θ 35.79, I = 29
2θ 48.55, I = 28

Atomic structure:
Cell lengths 3.7348, 10.1618, 12.4812 Å; angles 90.00, 90.00, 90.00 degrees
Space group Immm (No. 71)
Inequivalent atoms, fractional coordinates:
La: 0.0000 0.0000 0.0000 [2 per cell]
Ho: 0.0000 0.2233 0.3626 [8 per cell]
Ho: 0.0000 0.5000 0.0000 [2 per cell]
Hg: 0.0000 0.5000 0.2575 [4 per cell]


No. 10
This entry pairs a crystal structure of SrThHg2 with its theoretical X-ray diffraction stick pattern. Radiation: CuKα. Structure: a GGA-PBE-relaxed structure.

Most intense lines, 5° ≤ 2θ ≤ 70°, in order of falling intensity:
2θ 32.12, I = 100
2θ 32.89, I = 48
2θ 58.24, I = 38
2θ 56.76, I = 19
2θ 10.95, I = 18
2θ 47.20, I = 18
2θ 67.18, I = 11
2θ 44.89, I = 9

Atomic structure:
Cell lengths 3.8510, 3.8510, 8.0771 Å; angles 90.00, 90.00, 90.00 degrees
Space group P4/mmm (No. 123)
Inequivalent atoms, fractional coordinates:
Sr: 0.0000 0.0000 0.0000 [1 per cell]
Th: 0.0000 0.0000 0.5000 [1 per cell]
Hg: 0.5000 0.5000 0.2667 [2 per cell]